This entry pairs a crystal structure of Pr4Nd2YTm2 with its computed XRD peak list. Radiation: Cu Kα (λ = 1.5418 Å). Structure: the GGA-PBE geometry in Alexandria.
Peak positions follow from Bragg's law for the DFT cell and can differ from measured ones.

Structure:
Cell lengths 15.519, 5.168, 8.110 Å; angles 90.00, 108.64, 90.00 degrees
Space group C2/m (No. 12)
One atom of each set of equivalent atoms:
Pr (0.055, 0.000, 0.330) x4
Pr (0.222, 0.500, 0.329) x4
Nd (0.112, 0.500, 0.670) x4
Y (0.000, 0.500, 0.000) x2
Tm (0.168, 0.000, 0.000) x4

The 6 most intense peaks (2θ from 5° to 70°), sorted by position:
hkl 3 1 1, 30.0 deg, 2.976 Å, intensity 1000; hkl 0 2 0, 34.7 deg, 2.585 Å, intensity 341; hkl 0 0 3, 35.0 deg, 2.561 Å, intensity 167; hkl 6 0 2, 50.1 deg, 1.820 Å, intensity 240; hkl 9 1 0, 59.3 deg, 1.558 Å, intensity 145; hkl 3 3 1, 59.4 deg, 1.557 Å, intensity 144